AgI2: computed X-ray powder pattern (CuKα), based on DFT lattice parameters and positions (GGA-PBE).

Crystal structure
abc: 4.286 4.286 6.355
angles: 90.00 90.00 90.00
Space group P-4m2 (No. 115)
One atom of each set of equivalent atoms:
Ag 0.000 0.000 0.000
I 0.000 0.500 0.722

Peak list (10 most intense, 2θ = 15–90°, in order of falling intensity)
h k l	Position (°2θ)	d_spacing	intensity
1 0 1	25.06	3.553	100
1 1 2	41.16	2.193	43
2 1 1	49.68	1.835	30
2 0 0	42.17	2.143	22
1 1 1	32.74	2.735	17
1 0 0	20.73	4.286	14
1 0 3	47.90	1.899	14
3 1 2	76.40	1.247	14
1 0 2	35.16	2.552	11
2 1 3	65.70	1.421	10


Co3Se4: computed X-ray powder pattern (CuKα), based on DFT lattice parameters and positions (GGA-PBE).

Crystal structure
abc: 9.853 9.853 9.853
angles: 90.00 90.00 90.00
Space group Fd-3m (No. 227, origin choice 2)
One atom of each set of equivalent atoms:
Co 0.000 0.000 0.000
Co 0.125 0.125 0.625
Se 0.007 0.007 0.243

Peak list (10 most intense, 2θ = 15–90°, in order of falling intensity)
h k l	Position (°2θ)	d_spacing	intensity
4 4 0	52.54	1.742	100
4 0 0	36.48	2.463	85
2 2 2	31.45	2.844	44
3 1 1	30.08	2.971	40
5 1 1	47.98	1.896	27
8 4 0	88.82	1.102	23
4 4 4	65.65	1.422	18
6 2 2	62.53	1.485	17
8 0 0	77.50	1.232	15
2 2 0	25.57	3.484	13


Sr2Pb3: computed X-ray powder pattern (CuKα), based on DFT lattice parameters and positions (GGA-PBE).

Crystal structure
abc: 8.418 8.418 5.000
angles: 90.00 90.00 90.00
Space group P4/mbm (No. 127)
One atom of each set of equivalent atoms:
Sr 0.173 0.327 0.000
Pb 0.000 0.000 0.500
Pb 0.129 0.629 0.500

Peak list (10 most intense, 2θ = 15–90°, in order of falling intensity)
h k l	Position (°2θ)	d_spacing	intensity
2 1 1	29.70	3.008	100
3 1 0	33.67	2.662	50
0 0 1	17.74	5.000	44
3 1 2	50.05	1.822	33
3 1 1	38.30	2.350	32
2 0 1	27.70	3.220	27
0 0 2	35.92	2.500	26
5 1 1	58.91	1.568	15
2 1 3	60.78	1.524	13
3 2 1	42.74	2.116	13


K3HSe2O8: computed X-ray powder pattern (CuKα), based on DFT lattice parameters and positions (GGA-PBE).

Crystal structure
abc: 15.365 6.026 10.346
angles: 90.00 103.52 90.00
Space group C2/c (No. 15)
One atom of each set of equivalent atoms:
K 0.000 0.243 0.250
K 0.195 0.266 0.652
H 0.000 0.000 0.000
Se 0.116 0.229 0.961
O 0.003 0.172 0.938
O 0.127 0.462 0.881
O 0.155 0.251 0.125
O 0.159 0.009 0.900

Peak list (10 most intense, 2θ = 15–90°, in order of falling intensity)
h k l	Position (°2θ)	d_spacing	intensity
3 1 1	26.30	3.389	100
1 1 -3	29.85	2.993	86
4 0 -2	26.18	3.403	54
4 2 -2	39.96	2.256	43
0 2 0	29.65	3.013	40
1 1 -1	17.47	5.077	40
0 0 2	17.63	5.029	27
2 0 4	40.43	2.231	23
4 0 0	23.82	3.735	22
1 1 1	18.83	4.713	22